Diffraction record for Fe13Cu5O24. The X-ray diffraction stick pattern is theoretical, not measured: it uses a cell relaxed with GGA+U and Cu Kα (weighted mean of Kα1 and Kα2).

```
data_Fe13Cu5O24
_space_group_name_H-M_alt 'P 1'
_space_group_IT_number 1
_space_group_name_Hall 'P 1'
_cell_length_a 6.0104
_cell_length_b 6.0678
_cell_length_c 13.3510
_cell_angle_alpha 102.75
_cell_angle_beta 102.11
_cell_angle_gamma 91.61
loop_
_atom_site_label
_atom_site_type_symbol
_atom_site_fract_x
_atom_site_fract_y
_atom_site_fract_z
_atom_site_occupancy
Fe1 Fe 0.0000 0.0000 0.0000 1
Fe2 Fe 0.0010 0.0026 0.4964 1
Fe3 Fe 0.0052 0.5001 0.4995 1
Fe4 Fe 0.1316 0.8786 0.7446 1
Fe5 Fe 0.2039 0.4717 0.9169 1
Fe6 Fe 0.3330 0.3329 0.1638 1
Fe7 Fe 0.4631 0.1928 0.4106 1
Fe8 Fe 0.5359 0.7874 0.5831 1
Fe9 Fe 0.6628 0.1654 0.8291 1
Fe10 Fe 0.6659 0.6623 0.8313 1
Fe11 Fe 0.6675 0.6652 0.3275 1
Fe12 Fe 0.8106 0.5270 0.0803 1
Fe13 Fe 0.8561 0.1388 0.2476 1
Cu1 Cu 0.1675 0.6679 0.3299 1
Cu2 Cu 0.3336 0.8322 0.1631 1
Cu3 Cu 0.3349 0.3322 0.6642 1
Cu4 Cu 0.4993 0.9969 0.9977 1
Cu5 Cu 0.8332 0.3330 0.6643 1
O1 O 0.0729 0.1061 0.1589 1
O2 O 0.0814 0.0925 0.6572 1
O3 O 0.1010 0.5844 0.6570 1
O4 O 0.1118 0.5874 0.1708 1
O5 O 0.2243 0.2505 0.4864 1
O6 O 0.2270 0.2588 0.0046 1
O7 O 0.2301 0.7537 0.4908 1
O8 O 0.2489 0.7763 0.0019 1
O9 O 0.4176 0.8874 0.3250 1
O10 O 0.4373 0.9113 0.8376 1
O11 O 0.4404 0.4058 0.3226 1
O12 O 0.4443 0.4165 0.8415 1
O13 O 0.5542 0.0780 0.1563 1
O14 O 0.5656 0.0845 0.6714 1
O15 O 0.5863 0.5733 0.6711 1
O16 O 0.5948 0.5597 0.1686 1
O17 O 0.7471 0.2207 0.9903 1
O18 O 0.7645 0.7424 0.4932 1
O19 O 0.7695 0.2511 0.5027 1
O20 O 0.7756 0.7417 0.9916 1
O21 O 0.8912 0.9244 0.3360 1
O22 O 0.8981 0.4153 0.8246 1
O23 O 0.9028 0.9223 0.8350 1
O24 O 0.9201 0.4440 0.3382 1
```

The 10 most intense peaks (10° ≤ 2θ ≤ 90°), sorted by position:
| 2θ/deg | intensity | (hkl) |
| --- | --- | --- |
| 29.4 | 40 | 0 2 -1 |
| 29.8 | 35 | 1 1 2 |
| 34.4 | 68 | -1 2 1 |
| 34.5 | 38 | 2 -1 1 |
| 34.7 | 41 | -2 1 2 |
| 35.0 | 33 | 1 0 4 |
| 35.1 | 98 | 0 1 -5 |
| 35.2 | 100 | 1 2 -3 |
| 35.4 | 37 | 2 1 -3 |
| 36.5 | 37 | 0 2 2 |

Diffraction record for Fe13Cu5O24. The X-ray diffraction stick pattern is theoretical, not measured: it uses a cell relaxed with GGA+U and Cu Kα (weighted mean of Kα1 and Kα2).

```
data_Fe13Cu5O24
_space_group_name_H-M_alt 'P 1'
_space_group_IT_number 1
_space_group_name_Hall 'P 1'
_cell_length_a 5.8491
_cell_length_b 5.9139
_cell_length_c 13.0632
_cell_angle_alpha 102.14
_cell_angle_beta 102.41
_cell_angle_gamma 92.12
loop_
_atom_site_label
_atom_site_type_symbol
_atom_site_fract_x
_atom_site_fract_y
_atom_site_fract_z
_atom_site_occupancy
Fe1 Fe 0.0000 0.0000 0.0000 1
Fe2 Fe 0.0031 0.5053 0.5050 1
Fe3 Fe 0.1152 0.8967 0.7523 1
Fe4 Fe 0.1761 0.6646 0.3428 1
Fe5 Fe 0.2266 0.4526 0.9168 1
Fe6 Fe 0.4479 0.2199 0.4254 1
Fe7 Fe 0.5003 0.0040 0.9976 1
Fe8 Fe 0.5654 0.7724 0.5881 1
Fe9 Fe 0.6680 0.6713 0.3337 1
Fe10 Fe 0.6771 0.1635 0.8349 1
Fe11 Fe 0.8088 0.5523 0.0890 1
Fe12 Fe 0.8394 0.3346 0.6697 1
Fe13 Fe 0.8778 0.1166 0.2473 1
Cu1 Cu 0.0065 0.0056 0.5024 1
Cu2 Cu 0.3390 0.3349 0.6711 1
Cu3 Cu 0.3387 0.8362 0.1699 1
Cu4 Cu 0.3402 0.3343 0.1699 1
Cu5 Cu 0.6728 0.6642 0.8371 1
O1 O 0.0555 0.5842 0.6600 1
O2 O 0.0747 0.1133 0.6624 1
O3 O 0.0810 0.0584 0.1529 1
O4 O 0.1074 0.5857 0.1849 1
O5 O 0.2238 0.2717 0.5096 1
O6 O 0.2429 0.7820 0.9904 1
O7 O 0.2502 0.7194 0.4972 1
O8 O 0.2557 0.2242 0.0033 1
O9 O 0.4045 0.4338 0.3347 1
O10 O 0.4150 0.9000 0.3489 1
O11 O 0.4302 0.9512 0.8434 1
O12 O 0.4561 0.3995 0.8340 1
O13 O 0.5720 0.0843 0.1551 1
O14 O 0.5866 0.6059 0.1729 1
O15 O 0.6040 0.5552 0.6778 1
O16 O 0.6241 0.0859 0.6808 1
O17 O 0.7428 0.7773 0.9968 1
O18 O 0.7582 0.2288 0.9948 1
O19 O 0.7580 0.2863 0.5147 1
O20 O 0.7862 0.7416 0.4986 1
O21 O 0.8979 0.9311 0.8448 1
O22 O 0.9219 0.3832 0.8247 1
O23 O 0.9332 0.4317 0.3461 1
O24 O 0.9488 0.9005 0.3426 1
```

The 10 most intense peaks (10° ≤ 2θ ≤ 90°), sorted by position:
| 2θ/deg | intensity | (hkl) |
| --- | --- | --- |
| 18.6 | 36 | 1 0 1 |
| 30.6 | 35 | 2 0 -1 |
| 35.2 | 40 | -1 2 1 |
| 35.3 | 37 | 1 -2 2 |
| 35.5 | 65 | -2 1 2 |
| 35.8 | 34 | 0 1 4 |
| 36.0 | 100 | 1 0 4 |
| 36.1 | 39 | 1 2 0 |
| 36.4 | 66 | 2 1 0 |
| 62.9 | 58 | 0 4 -2 |

Diffraction record for Fe9Cu3O16. The X-ray diffraction stick pattern is theoretical, not measured: it uses a cell relaxed with GGA+U and Cu Kα (weighted mean of Kα1 and Kα2).

```
data_Fe9Cu3O16
_space_group_name_H-M_alt 'P 1'
_space_group_IT_number 1
_space_group_name_Hall 'P 1'
_cell_length_a 5.8570
_cell_length_b 5.8792
_cell_length_c 8.3393
_cell_angle_alpha 90.44
_cell_angle_beta 90.00
_cell_angle_gamma 90.01
loop_
_atom_site_label
_atom_site_type_symbol
_atom_site_fract_x
_atom_site_fract_y
_atom_site_fract_z
_atom_site_occupancy
Fe1 Fe 0.0000 0.0000 0.0000 1
Fe2 Fe 0.0001 0.4995 0.9980 1
Fe3 Fe 0.0009 0.7472 0.6200 1
Fe4 Fe 0.2506 0.7479 0.2485 1
Fe5 Fe 0.2544 0.2507 0.7450 1
Fe6 Fe 0.5004 0.0024 0.4984 1
Fe7 Fe 0.4999 0.4965 0.4980 1
Fe8 Fe 0.7471 0.2509 0.7449 1
Fe9 Fe 0.7497 0.7468 0.2484 1
Cu1 Cu 0.0004 0.2519 0.3695 1
Cu2 Cu 0.5002 0.2494 0.1242 1
Cu3 Cu 0.5000 0.7474 0.8759 1
O1 O 0.0010 0.0170 0.7506 1
O2 O 0.0017 0.4797 0.7545 1
O3 O 0.0020 0.9681 0.2413 1
O4 O 0.2268 0.2558 0.9791 1
O5 O 0.2274 0.7421 0.0119 1
O6 O 0.2709 0.7483 0.4890 1
O7 O 0.2785 0.2505 0.5101 1
O8 O 0.4992 0.5275 0.2642 1
O9 O 0.4996 0.4733 0.7318 1
O10 O 0.4999 0.9738 0.2647 1
O11 O 0.5006 0.0258 0.7331 1
O12 O 0.7229 0.2523 0.5117 1
O13 O 0.7299 0.7474 0.4889 1
O14 O 0.7720 0.2557 0.9803 1
O15 O 0.7716 0.7442 0.0138 1
O16 O 0.9994 0.5256 0.2337 1
```

The 10 most intense peaks (10° ≤ 2θ ≤ 90°), sorted by position:
| 2θ/deg | intensity | (hkl) |
| --- | --- | --- |
| 30.3 | 23 | 1 1 -2 |
| 30.5 | 34 | 0 2 0 |
| 35.6 | 17 | 0 1 -3 |
| 35.8 | 83 | 1 0 3 |
| 35.9 | 100 | -1 2 1 |
| 43.6 | 21 | 2 2 0 |
| 57.6 | 16 | 2 -3 1 |
| 57.7 | 34 | -3 2 1 |
| 63.0 | 29 | 2 2 -4 |
| 63.4 | 28 | 2 2 4 |

Diffraction record for Fe9Cu3O16. The X-ray diffraction stick pattern is theoretical, not measured: it uses a cell relaxed with GGA+U and Cu Kα (weighted mean of Kα1 and Kα2).

```
data_Fe9Cu3O16
_space_group_name_H-M_alt 'P -1'
_space_group_IT_number 2
_space_group_name_Hall '-P 1'
_cell_length_a 6.0196
_cell_length_b 6.0580
_cell_length_c 8.5182
_cell_angle_alpha 90.41
_cell_angle_beta 90.81
_cell_angle_gamma 90.59
loop_
_atom_site_label
_atom_site_type_symbol
_atom_site_fract_x
_atom_site_fract_y
_atom_site_fract_z
_atom_site_occupancy
Fe1 Fe 0.0000 0.0000 0.0000 1
Fe2 Fe 0.0000 0.5000 0.0000 1
Fe3 Fe 0.0090 0.2449 0.6258 1
Fe4 Fe 0.2512 0.7467 0.7465 1
Fe5 Fe 0.4924 0.2533 0.8720 1
Fe6 Fe 0.5000 0.0000 0.5000 1
Cu1 Cu 0.2508 0.2527 0.2526 1
Cu2 Cu 0.5000 0.5000 0.5000 1
O1 O 0.0080 0.9874 0.7614 1
O2 O 0.0099 0.5076 0.7597 1
O3 O 0.2304 0.2511 0.0027 1
O4 O 0.2341 0.7513 0.9932 1
O5 O 0.2548 0.7619 0.5085 1
O6 O 0.2662 0.2446 0.4974 1
O7 O 0.4905 0.9913 0.7415 1
O8 O 0.4920 0.5140 0.7508 1
```

The 10 most intense peaks (10° ≤ 2θ ≤ 90°), sorted by position:
| 2θ/deg | intensity | (hkl) |
| --- | --- | --- |
| 29.5 | 46 | 1 1 -2 |
| 29.7 | 24 | 2 0 0 |
| 34.7 | 100 | 1 -2 1 |
| 34.8 | 97 | 2 -1 1 |
| 35.0 | 54 | 0 1 3 |
| 35.2 | 57 | 1 0 3 |
| 42.1 | 23 | 2 -2 0 |
| 55.7 | 27 | -3 2 1 |
| 61.2 | 71 | 2 2 -4 |
| 61.5 | 23 | 2 -2 4 |